1.
Calculated powder XRD pattern
Compound: Ti2Pd6Au
Radiation: Cu Kα X-rays
Structure: DFT lattice parameters and positions (GGA-PBE)

Peak list (6 most intense, 2θ = 5–70°, by angle)
13.44 deg, 6.586 Å, rel. 32, (1 0 0); 39.76 deg, 2.267 Å, rel. 86, (1 1 1); 41.12 deg, 2.195 Å, rel. 100, (3 0 0); 42.15 deg, 2.144 Å, rel. 31, (2 0 1); 48.76 deg, 1.867 Å, rel. 22, (2 1 1); 58.52 deg, 1.577 Å, rel. 24, (2 2 1)

Structure:
```
data_Ti2Pd6Au
_chemical_formula_sum 'Ti2 Pd6 Au1'
_cell_length_a 7.6049
_cell_length_b 7.6049
_cell_length_c 2.8244
_cell_angle_alpha 90.00
_cell_angle_beta 90.00
_cell_angle_gamma 120.00
_space_group_name_H-M_alt 'P -6 2 m'
_space_group_IT_number 189
_space_group_name_Hall 'P -6 -2'
loop_
_atom_site_label
_atom_site_fract_x
_atom_site_fract_y
_atom_site_fract_z
Ti1 0.3333 0.6667 0.0000
Pd1 0.0000 0.3162 0.0000
Pd2 0.0000 0.6344 0.5000
Au1 0.0000 0.0000 0.5000
```

2.
Calculated powder XRD pattern
Compound: K2GaAgH6
Radiation: Cu Kα X-rays
Structure: DFT lattice parameters and positions (GGA-PBE)

Peak list (6 most intense, 2θ = 5–70°, by angle)
31.32 deg, 2.856 Å, rel. 100, (0 2 2); 32.19 deg, 2.781 Å, rel. 93, (2 0 2); 32.37 deg, 2.766 Å, rel. 91, (2 2 0); 56.18 deg, 1.637 Å, rel. 35, (2 2 4); 56.53 deg, 1.628 Å, rel. 34, (2 4 2); 58.16 deg, 1.586 Å, rel. 31, (4 2 2)

Structure:
```
data_K2GaAgH6
_chemical_formula_sum 'K8 Ga4 Ag4 H24'
_cell_length_a 7.6299
_cell_length_b 8.0316
_cell_length_c 8.1257
_cell_angle_alpha 90.00
_cell_angle_beta 90.00
_cell_angle_gamma 90.00
_space_group_name_H-M_alt 'F m m m'
_space_group_IT_number 69
_space_group_name_Hall '-F 2 2'
loop_
_atom_site_label
_atom_site_fract_x
_atom_site_fract_y
_atom_site_fract_z
K1 0.2500 0.2500 0.2500
Ga1 0.0000 0.0000 0.0000
Ag1 0.0000 0.0000 0.5000
H1 0.0000 0.0000 0.2195
H2 0.0000 0.2222 0.0000
H3 0.2446 0.0000 0.5000
```

3.
Calculated powder XRD pattern
Compound: DyMn2Si2C
Radiation: Cu Kα X-rays
Structure: DFT lattice parameters and positions (GGA-PBE)

Peak list (6 most intense, 2θ = 5–70°, by angle)
22.89 deg, 3.885 Å, rel. 30, (1 0 0); 28.68 deg, 3.112 Å, rel. 54, (1 0 1); 37.01 deg, 2.429 Å, rel. 100, (1 1 1); 41.80 deg, 2.161 Å, rel. 49, (1 0 2); 46.76 deg, 1.943 Å, rel. 40, (2 0 0); 64.50 deg, 1.445 Å, rel. 27, (2 1 2)

Structure:
```
data_DyMn2Si2C
_chemical_formula_sum 'Dy1 Mn2 Si2 C1'
_cell_length_a 3.8851
_cell_length_b 3.8851
_cell_length_c 5.2001
_cell_angle_alpha 90.00
_cell_angle_beta 90.00
_cell_angle_gamma 90.00
_space_group_name_H-M_alt 'P 4/m m m'
_space_group_IT_number 123
_space_group_name_Hall '-P 4 2'
loop_
_atom_site_label
_atom_site_fract_x
_atom_site_fract_y
_atom_site_fract_z
Dy1 0.0000 0.0000 0.0000
Mn1 0.0000 0.5000 0.5000
Si1 0.5000 0.5000 0.2293
C1 0.0000 0.0000 0.5000
```

4.
Calculated powder XRD pattern
Compound: TlNiCl
Radiation: Cu Kα X-rays
Structure: DFT lattice parameters and positions (GGA-PBE)

Peak list (6 most intense, 2θ = 5–70°, by angle)
15.69 deg, 5.646 Å, rel. 21, (0 0 1); 27.46 deg, 3.248 Å, rel. 23, (1 0 0); 31.77 deg, 2.817 Å, rel. 100, (1 0 1); 42.42 deg, 2.131 Å, rel. 25, (0 1 2); 48.54 deg, 1.875 Å, rel. 20, (1 1 0); 59.17 deg, 1.562 Å, rel. 29, (0 2 1)

Structure:
```
data_TlNiCl
_chemical_formula_sum 'Tl1 Ni1 Cl1'
_cell_length_a 3.7509
_cell_length_b 3.7509
_cell_length_c 5.6465
_cell_angle_alpha 90.00
_cell_angle_beta 90.00
_cell_angle_gamma 120.00
_space_group_name_H-M_alt 'P 3 m 1'
_space_group_IT_number 156
loop_
_space_group_symop_operation_xyz
'x,y,z'
'-y,x-y,z'
'-x+y,-x,z'
'-y,-x,z'
'-x+y,y,z'
'x,x-y,z'
loop_
_atom_site_label
_atom_site_fract_x
_atom_site_fract_y
_atom_site_fract_z
Tl1 0.0000 0.0000 0.0000
Ni1 0.3333 0.6667 0.6256
Cl1 0.6667 0.3333 0.5424
```

5.
Calculated powder XRD pattern
Compound: Rb2Tl12Ag
Radiation: Cu Kα X-rays
Structure: DFT lattice parameters and positions (GGA-PBE)

Peak list (6 most intense, 2θ = 5–70°, by angle)
8.88 deg, 9.954 Å, rel. 43, (0 0 2); 19.62 deg, 4.525 Å, rel. 38, (1 1 2); 26.37 deg, 3.379 Å, rel. 100, (2 0 2); 32.22 deg, 2.778 Å, rel. 41, (1 1 6); 35.33 deg, 2.540 Å, rel. 75, (2 2 0); 36.88 deg, 2.437 Å, rel. 100, (2 0 6)

Structure:
```
data_Rb2Tl12Ag
_chemical_formula_sum 'Rb4 Tl24 Ag2'
_cell_length_a 7.1851
_cell_length_b 7.1851
_cell_length_c 19.9081
_cell_angle_alpha 90.00
_cell_angle_beta 90.00
_cell_angle_gamma 90.00
_space_group_name_H-M_alt 'P 4/n b m'
_space_group_IT_number 125
loop_
_space_group_symop_operation_xyz
'x,y,z'
'-x,-y,-z'
'-y+1/2,x,z'
'y+1/2,-x,-z'
'-x+1/2,-y+1/2,z'
'x+1/2,y+1/2,-z'
'y,-x+1/2,z'
'-y,x+1/2,-z'
'x,-y+1/2,-z'
'-x,y+1/2,z'
'-y+1/2,-x+1/2,-z'
'y+1/2,x+1/2,z'
'-x+1/2,y,-z'
'x+1/2,-y,z'
'y,x,-z'
'-y,-x,z'
loop_
_atom_site_label
_atom_site_fract_x
_atom_site_fract_y
_atom_site_fract_z
Rb1 0.2500 0.7500 0.2491
Tl1 0.0001 0.9999 0.0819
Tl2 0.0846 0.5846 0.4331
Tl3 0.2500 0.2500 0.1803
Tl4 0.2500 0.2500 0.3397
Ag1 0.2500 0.7500 0.0000
```

6.
Calculated powder XRD pattern
Compound: Pr2Dy9Er3
Radiation: Cu Kα X-rays
Structure: DFT lattice parameters and positions (GGA-PBE)

Peak list (6 most intense, 2θ = 5–70°, by angle)
26.35 deg, 3.383 Å, rel. 78, (2 2 -1); 31.06 deg, 2.880 Å, rel. 100, (2 0 2); 31.53 deg, 2.838 Å, rel. 80, (6 0 0); 32.87 deg, 2.725 Å, rel. 42, (4 2 1); 33.81 deg, 2.651 Å, rel. 44, (1 3 1); 34.77 deg, 2.580 Å, rel. 65, (4 0 -2)

Structure:
```
data_Pr2Dy9Er3
_chemical_formula_sum 'Pr4 Dy18 Er6'
_cell_length_a 17.0493
_cell_length_b 8.9586
_cell_length_c 6.2437
_cell_angle_alpha 90.00
_cell_angle_beta 92.98
_cell_angle_gamma 90.00
_space_group_name_H-M_alt 'C 1 m 1'
_space_group_IT_number 8
loop_
_space_group_symop_operation_xyz
'x,y,z'
'x,-y,z'
'x+1/2,y+1/2,z'
'x+1/2,-y+1/2,z'
loop_
_atom_site_label
_atom_site_fract_x
_atom_site_fract_y
_atom_site_fract_z
Pr1 0.0000 0.1964 0.0000
Dy1 0.0002 0.0000 0.5000
Dy2 0.1614 0.3389 0.8357
Dy3 0.1619 0.2099 0.3395
Dy4 0.3382 0.2902 0.6591
Dy5 0.3385 0.1610 0.1628
Er1 0.9998 0.5000 0.4999
Er2 0.1942 0.0000 0.8191
Er3 0.3060 0.5000 0.1793
```

7.
Calculated powder XRD pattern
Compound: ReAg2Cl8
Radiation: Cu Kα X-rays
Structure: DFT lattice parameters and positions (GGA-PBE)

Peak list (6 most intense, 2θ = 5–70°, by angle)
15.01 deg, 5.901 Å, rel. 100, (1 1 0); 16.34 deg, 5.423 Å, rel. 40, (2 0 -1); 19.64 deg, 4.519 Å, rel. 52, (2 0 1); 24.83 deg, 3.586 Å, rel. 30, (4 0 -1); 28.00 deg, 3.187 Å, rel. 27, (3 1 1); 34.35 deg, 2.611 Å, rel. 45, (2 2 1)

Structure:
```
data_ReAg2Cl8
_chemical_formula_sum 'Re2 Ag4 Cl16'
_cell_length_a 15.5657
_cell_length_b 6.3956
_cell_length_c 6.5142
_cell_angle_alpha 90.00
_cell_angle_beta 100.53
_cell_angle_gamma 90.00
_space_group_name_H-M_alt 'C 1 2/m 1'
_space_group_IT_number 12
loop_
_space_group_symop_operation_xyz
'x,y,z'
'-x,-y,-z'
'-x,y,-z'
'x,-y,z'
'x+1/2,y+1/2,z'
'-x+1/2,-y+1/2,-z'
'-x+1/2,y+1/2,-z'
'x+1/2,-y+1/2,z'
loop_
_atom_site_label
_atom_site_fract_x
_atom_site_fract_y
_atom_site_fract_z
Re1 0.0000 0.0000 0.0000
Ag1 0.1824 0.0000 0.5633
Cl1 0.0488 0.2488 0.2490
Cl2 0.1376 0.0000 0.9054
Cl3 0.2073 0.5000 0.6480
```

8.
Calculated powder XRD pattern
Compound: RbYCuI5
Radiation: Cu Kα X-rays
Structure: DFT lattice parameters and positions (GGA-PBE)

Peak list (6 most intense, 2θ = 5–70°, by angle)
17.23 deg, 5.146 Å, rel. 41, (1 1 -2); 24.51 deg, 3.632 Å, rel. 53, (1 1 -3); 25.23 deg, 3.531 Å, rel. 100, (1 3 1); 27.46 deg, 3.248 Å, rel. 58, (3 1 -1); 33.66 deg, 2.662 Å, rel. 29, (2 4 -2); 40.49 deg, 2.228 Å, rel. 36, (4 0 -4)

Structure:
```
data_RbYCuI5
_chemical_formula_sum 'Rb4 Y4 Cu4 I20'
_cell_length_a 10.1172
_cell_length_b 13.2821
_cell_length_c 11.3317
_cell_angle_alpha 90.00
_cell_angle_beta 113.58
_cell_angle_gamma 90.00
_space_group_name_H-M_alt 'C 1 2/c 1'
_space_group_IT_number 15
loop_
_space_group_symop_operation_xyz
'x,y,z'
'-x,-y,-z'
'-x,y,-z+1/2'
'x,-y,z+1/2'
'x+1/2,y+1/2,z'
'-x+1/2,-y+1/2,-z'
'-x+1/2,y+1/2,-z+1/2'
'x+1/2,-y+1/2,z+1/2'
loop_
_atom_site_label
_atom_site_fract_x
_atom_site_fract_y
_atom_site_fract_z
Rb1 0.0000 0.1407 0.2500
Y1 0.0000 0.5000 0.0000
Cu1 0.0000 0.1899 0.7500
I1 0.0000 0.4165 0.2500
I2 0.1142 0.2952 0.6180
I3 0.1938 0.0773 0.9331
```

9.
Calculated powder XRD pattern
Compound: K7RbAu3
Radiation: Cu Kα X-rays
Structure: DFT lattice parameters and positions (GGA-PBE)

Peak list (6 most intense, 2θ = 5–70°, by angle)
11.33 deg, 7.813 Å, rel. 72, (2 0 -1); 12.20 deg, 7.256 Å, rel. 32, (1 1 -1); 21.69 deg, 4.097 Å, rel. 23, (0 2 1); 24.53 deg, 3.629 Å, rel. 100, (2 0 1); 31.65 deg, 2.827 Å, rel. 70, (4 0 0); 38.04 deg, 2.366 Å, rel. 32, (0 4 0)

Structure:
```
data_K7RbAu3
_chemical_formula_sum 'K14 Rb2 Au6'
_cell_length_a 15.6260
_cell_length_b 9.4604
_cell_length_c 11.3146
_cell_angle_alpha 90.00
_cell_angle_beta 133.58
_cell_angle_gamma 90.00
_space_group_name_H-M_alt 'C 1 m 1'
_space_group_IT_number 8
loop_
_space_group_symop_operation_xyz
'x,y,z'
'x,-y,z'
'x+1/2,y+1/2,z'
'x+1/2,-y+1/2,z'
loop_
_atom_site_label
_atom_site_fract_x
_atom_site_fract_y
_atom_site_fract_z
K1 0.0000 0.0000 0.0000
K2 0.0030 0.5000 0.0033
K3 0.1727 0.2500 0.8389
K4 0.2505 0.2530 0.5034
K5 0.4234 0.5000 0.3339
Rb1 0.4155 0.0000 0.3352
Au1 0.2131 0.5000 0.6741
Au2 0.4629 0.2519 0.1666
```

10.
Calculated powder XRD pattern
Compound: Li4Er3PuTe8
Radiation: Cu Kα X-rays
Structure: DFT lattice parameters and positions (GGA-PBE)

Peak list (6 most intense, 2θ = 5–70°, by angle)
12.57 deg, 7.044 Å, rel. 36, (0 0 3); 24.06 deg, 3.699 Å, rel. 28, (0 2 1); 29.17 deg, 3.062 Å, rel. 100, (0 2 4); 41.64 deg, 2.169 Å, rel. 38, (2 2 0); 41.81 deg, 2.161 Å, rel. 38, (2 0 8); 51.65 deg, 1.770 Å, rel. 20, (4 0 4)

Structure:
```
data_Li4Er3PuTe8
_chemical_formula_sum 'Li12 Er9 Pu3 Te24'
_cell_length_a 8.6760
_cell_length_b 8.6760
_cell_length_c 21.1305
_cell_angle_alpha 90.00
_cell_angle_beta 90.00
_cell_angle_gamma 120.00
_space_group_name_H-M_alt 'R -3 m'
_space_group_IT_number 166
_space_group_name_Hall '-R 3 2"'
loop_
_atom_site_label
_atom_site_fract_x
_atom_site_fract_y
_atom_site_fract_z
Li1 0.0000 0.0000 0.0000
Li2 0.0000 0.5000 0.0000
Er1 0.0000 0.5000 0.5000
Pu1 0.0000 0.0000 0.5000
Te1 0.0000 0.0000 0.2510
Te2 0.0055 0.5028 0.7482
```

11.
Calculated powder XRD pattern
Compound: CsMg2Tl10
Radiation: Cu Kα X-rays
Structure: DFT lattice parameters and positions (GGA-PBE)

Peak list (6 most intense, 2θ = 5–70°, by angle)
11.36 deg, 7.787 Å, rel. 63, (0 2 0); 27.47 deg, 3.247 Å, rel. 69, (1 3 3); 31.21 deg, 2.866 Å, rel. 100, (1 1 5); 31.74 deg, 2.819 Å, rel. 82, (0 4 4); 32.00 deg, 2.797 Å, rel. 79, (2 2 2); 32.39 deg, 2.764 Å, rel. 83, (1 5 1)

Structure:
```
data_CsMg2Tl10
_chemical_formula_sum 'Cs4 Mg8 Tl40'
_cell_length_a 6.4419
_cell_length_b 15.5745
_cell_length_c 16.3477
_cell_angle_alpha 90.00
_cell_angle_beta 90.00
_cell_angle_gamma 90.00
_space_group_name_H-M_alt 'F m m m'
_space_group_IT_number 69
_space_group_name_Hall '-F 2 2'
loop_
_atom_site_label
_atom_site_fract_x
_atom_site_fract_y
_atom_site_fract_z
Cs1 0.0000 0.0000 0.0000
Mg1 0.2500 0.0000 0.2500
Tl1 0.0000 0.1061 0.3852
Tl2 0.0000 0.1749 0.1816
Tl3 0.2500 0.2500 0.0000
```

12.
Calculated powder XRD pattern
Compound: Ac4Ni2Cl
Radiation: Cu Kα X-rays
Structure: DFT lattice parameters and positions (GGA-PBE)

Peak list (6 most intense, 2θ = 5–70°, by angle)
11.77 deg, 7.518 Å, rel. 27, (0 0 6); 25.97 deg, 3.431 Å, rel. 44, (0 1 5); 27.75 deg, 3.215 Å, rel. 100, (1 0 7); 35.42 deg, 2.534 Å, rel. 34, (1 0 13); 42.20 deg, 2.142 Å, rel. 46, (1 1 0); 47.16 deg, 1.927 Å, rel. 23, (0 1 20)

Structure:
```
data_Ac4Ni2Cl
_chemical_formula_sum 'Ac12 Ni6 Cl3'
_cell_length_a 4.2832
_cell_length_b 4.2832
_cell_length_c 45.1067
_cell_angle_alpha 90.00
_cell_angle_beta 90.00
_cell_angle_gamma 120.00
_space_group_name_H-M_alt 'R -3 m'
_space_group_IT_number 166
_space_group_name_Hall '-R 3 2"'
loop_
_atom_site_label
_atom_site_fract_x
_atom_site_fract_y
_atom_site_fract_z
Ac1 0.0000 0.0000 0.1237
Ac2 0.0000 0.0000 0.2803
Ni1 0.0000 0.0000 0.4217
Cl1 0.0000 0.0000 0.0000
```

13.
Calculated powder XRD pattern
Compound: Nd3TaCl6O4
Radiation: Cu Kα X-rays
Structure: DFT lattice parameters and positions (GGA-PBE)

Peak list (6 most intense, 2θ = 5–70°, by angle)
7.91 deg, 11.175 Å, rel. 81, (1 0 0); 21.03 deg, 4.224 Å, rel. 61, (1 2 0); 27.66 deg, 3.225 Å, rel. 86, (2 0 1); 31.00 deg, 2.885 Å, rel. 81, (1 2 1); 36.86 deg, 2.439 Å, rel. 100, (4 1 0); 42.01 deg, 2.150 Å, rel. 48, (2 3 1)

Structure:
```
data_Nd3TaCl6O4
_chemical_formula_sum 'Nd6 Ta2 Cl12 O8'
_cell_length_a 12.9041
_cell_length_b 12.9041
_cell_length_c 3.9498
_cell_angle_alpha 90.00
_cell_angle_beta 90.00
_cell_angle_gamma 120.00
_space_group_name_H-M_alt 'P 63/m'
_space_group_IT_number 176
_space_group_name_Hall '-P 6c'
loop_
_atom_site_label
_atom_site_fract_x
_atom_site_fract_y
_atom_site_fract_z
Nd1 0.1159 0.3932 0.2500
Ta1 0.3333 0.6667 0.7500
Cl1 0.0674 0.6291 0.2500
Cl2 0.1015 0.8557 0.7500
O1 0.2015 0.5065 0.7500
O2 0.3333 0.6667 0.2500
```